Cs3Te2Se4: simulated powder X-ray diffraction pattern (a wavelength of 1.5418 Å), based on a DFT-relaxed cell (PBE, Alexandria).
Neutral-atom scattering factors, no anomalous dispersion.

Lattice parameters (Å, degrees): 7.6393 7.6393 10.4433 106.34 106.34 41.20
Fractional positions:
Cs 0.0000 0.0000 0.0000
Cs 0.3504 0.3504 0.3001
Cs 0.6496 0.6496 0.6999
Te 0.3642 0.3642 0.6842
Te 0.6358 0.6358 0.3158
Se 0.1114 0.1114 0.3682
Se 0.3052 0.3052 0.8901
Se 0.6948 0.6948 0.1099
Se 0.8886 0.8886 0.6318

Most intense lines, 10° ≤ 2θ ≤ 90°, sorted by position:
13.35°, I 29
24.93°, I 25
25.66°, I 100
26.11°, I 38
26.61°, I 75
26.86°, I 48
32.77°, I 38
33.33°, I 57
36.11°, I 32
43.32°, I 29